Structure and computed X-ray powder pattern of LaPmCu2Ge2 (DFT lattice parameters and positions (PBE); CuKα).
Lines closer than 0.1° are merged.

Top 8 peaks for 2θ = 10–80°, in order of falling intensity:
d (Å), intensity
2.722, 100
2.159, 47
1.461, 25
1.691, 24
1.331, 21
1.247, 16
3.739, 12
1.985, 11

Structural model:
```
LaPmCu2Ge2
1.0
4.317 0.000 0.000
-2.159 3.739 0.000
0.000 0.000 7.938
La Pm Cu Ge
1 1 2 2
direct
0.000 0.000 0.000
0.000 0.000 0.500
0.333 0.667 0.736
0.667 0.333 0.264
0.333 0.667 0.257
0.667 0.333 0.743
```


Structure and computed X-ray powder pattern of La2PrCu2Ge2 (DFT lattice parameters and positions (PBE); CuKα).
Lines closer than 0.1° are merged.

Top 8 peaks for 2θ = 10–80°, in order of falling intensity:
d (Å), intensity
2.794, 100
2.173, 86
2.619, 81
1.449, 43
3.733, 29
1.715, 23
1.672, 21
1.346, 20

Structural model:
```
La2PrCu2Ge2
1.0
2.173 1.255 9.726
-2.173 1.255 9.726
0.000 -2.509 9.726
La Pr Cu Ge
2 1 2 2
direct
0.133 0.133 0.133
0.867 0.867 0.867
0.000 0.000 0.000
0.403 0.403 0.403
0.597 0.597 0.597
0.264 0.264 0.264
0.736 0.736 0.736
```


Structure and computed X-ray powder pattern of La3CuGeS7 (DFT lattice parameters and positions (PBE); CuKα).
Lines closer than 0.1° are merged.

Top 8 peaks for 2θ = 10–80°, in order of falling intensity:
d (Å), intensity
3.579, 100
2.592, 45
2.490, 41
2.232, 40
2.296, 34
3.902, 31
2.964, 28
3.393, 24

Structural model:
```
La3CuGeS7
1.0
10.366 0.000 0.000
-5.183 8.977 0.000
0.000 0.000 5.928
La Cu Ge S
6 2 2 14
direct
0.126 0.356 0.000
0.230 0.874 0.000
0.356 0.230 0.500
0.644 0.770 0.000
0.770 0.126 0.500
0.874 0.644 0.500
0.000 0.000 0.473
0.000 0.000 0.973
0.333 0.667 0.583
0.667 0.333 0.083
0.088 0.248 0.483
0.107 0.586 0.734
0.161 0.912 0.483
0.248 0.161 0.983
0.333 0.667 0.211
0.414 0.521 0.734
0.479 0.893 0.734
0.521 0.107 0.234
0.586 0.479 0.234
0.667 0.333 0.711
0.752 0.839 0.483
0.839 0.088 0.983
0.893 0.414 0.234
0.912 0.752 0.983
```


Question: Which formula does entry 2 have?
Answer: La2PrCu2Ge2


Copy entry 2 word for word.
Structure and computed X-ray powder pattern of La2PrCu2Ge2 (DFT lattice parameters and positions (PBE); CuKα).
Lines closer than 0.1° are merged.

Top 8 peaks for 2θ = 10–80°, in order of falling intensity:
d (Å), intensity
2.794, 100
2.173, 86
2.619, 81
1.449, 43
3.733, 29
1.715, 23
1.672, 21
1.346, 20

Structural model:
```
La2PrCu2Ge2
1.0
2.173 1.255 9.726
-2.173 1.255 9.726
0.000 -2.509 9.726
La Pr Cu Ge
2 1 2 2
direct
0.133 0.133 0.133
0.867 0.867 0.867
0.000 0.000 0.000
0.403 0.403 0.403
0.597 0.597 0.597
0.264 0.264 0.264
0.736 0.736 0.736
```


Question: Which formula does entry 1 have?
Answer: LaPmCu2Ge2